(1)
The following is a simulated X-ray diffraction stick pattern of TiZnAgHg. It was derived from a structure optimized by DFT (GGA-PBE), using Cu Kα.

Structure:
Unit cell a=6.544 b=6.544 c=6.544 alpha=90.00 beta=90.00 gamma=90.00
Sites, in units of the cell vectors:
Ti (0.000, 0.000, 0.000)
Ti (0.000, 0.500, 0.500)
Ti (0.500, 0.000, 0.500)
Ti (0.500, 0.500, 0.000)
Zn (0.000, 0.000, 0.500)
Zn (0.000, 0.500, 0.000)
Zn (0.500, 0.000, 0.000)
Zn (0.500, 0.500, 0.500)
Ag (0.250, 0.250, 0.750)
Ag (0.250, 0.750, 0.250)
Ag (0.750, 0.250, 0.250)
Ag (0.750, 0.750, 0.750)
Hg (0.250, 0.250, 0.250)
Hg (0.250, 0.750, 0.750)
Hg (0.750, 0.250, 0.750)
Hg (0.750, 0.750, 0.250)

Most intense lines, 2θ from 15° to 90°, sorted by position:
| d_spacing | 2θ (°) | I/Imax |
| --- | --- | --- |
| 3.778 | 23.55 | 10 |
| 3.272 | 27.26 | 25 |
| 2.314 | 38.93 | 100 |
| 1.889 | 48.17 | 8 |
| 1.636 | 56.23 | 17 |
| 1.463 | 63.59 | 10 |
| 1.336 | 70.50 | 33 |
| 1.157 | 83.58 | 11 |

***

(2)
The following is a simulated X-ray diffraction stick pattern of Sr4LiSm2Ta2O12. It was derived from a structure optimized by DFT (GGA-PBE), using Cu Kα.

Structure:
Unit cell a=5.957 b=6.164 c=8.464 alpha=87.90 beta=88.92 gamma=88.94
Sites, in units of the cell vectors:
Sr (0.000, 0.000, 0.000)
Sr (0.001, 0.054, 0.534)
Sr (0.531, 0.560, 0.541)
Sr (0.537, 0.651, 0.052)
Li (0.173, 0.376, 0.074)
Sm (0.017, 0.563, 0.785)
Sm (0.514, 0.109, 0.295)
Ta (0.019, 0.612, 0.308)
Ta (0.509, 0.081, 0.794)
O (0.112, 0.621, 0.529)
O (0.199, 0.890, 0.256)
O (0.266, 0.292, 0.874)
O (0.295, 0.829, 0.828)
O (0.307, 0.433, 0.257)
O (0.419, 0.126, 0.567)
O (0.594, 0.052, 0.030)
O (0.743, 0.314, 0.751)
O (0.746, 0.806, 0.343)
O (0.757, 0.853, 0.757)
O (0.823, 0.350, 0.349)
O (0.955, 0.596, 0.065)

Most intense lines, 2θ from 15° to 90°, sorted by position:
| d_spacing | 2θ (°) | I/Imax |
| --- | --- | --- |
| 4.236 | 20.97 | 38 |
| 3.081 | 28.98 | 91 |
| 3.014 | 29.64 | 49 |
| 2.977 | 30.01 | 100 |
| 2.965 | 30.14 | 48 |
| 2.122 | 42.61 | 25 |
| 2.114 | 42.77 | 27 |
| 1.714 | 53.46 | 35 |

***

(3)
The following is a simulated X-ray diffraction stick pattern of ScGaAg. It was derived from a structure optimized by DFT (GGA-PBE), using Cu Kα.

Structure:
Unit cell a=4.176 b=9.654 c=5.652 alpha=90.00 beta=90.00 gamma=90.00
Sites, in units of the cell vectors:
Sc (0.000, 0.195, 0.250)
Sc (0.000, 0.805, 0.750)
Sc (0.500, 0.305, 0.750)
Sc (0.500, 0.695, 0.250)
Ga (0.000, 0.115, 0.750)
Ga (0.000, 0.885, 0.250)
Ga (0.500, 0.385, 0.250)
Ga (0.500, 0.615, 0.750)
Ag (0.000, 0.500, 0.000)
Ag (0.000, 0.500, 0.500)
Ag (0.500, 0.000, 0.000)
Ag (0.500, 0.000, 0.500)

Most intense lines, 2θ from 15° to 90°, sorted by position:
| d_spacing | 2θ (°) | I/Imax |
| --- | --- | --- |
| 4.827 | 18.38 | 40 |
| 2.549 | 35.21 | 77 |
| 2.439 | 36.85 | 35 |
| 2.324 | 38.75 | 23 |
| 2.275 | 39.62 | 100 |
| 2.088 | 43.33 | 30 |
| 1.835 | 49.68 | 23 |
| 1.378 | 68.01 | 18 |

***

(4)
The following is a simulated X-ray diffraction stick pattern of Li3CuAg4. It was derived from a structure optimized by DFT (GGA-PBE), using Cu Kα.

Structure:
Unit cell a=4.472 b=4.472 c=12.575 alpha=90.00 beta=90.00 gamma=90.00
Sites, in units of the cell vectors:
Li (0.000, 0.000, 0.000)
Li (0.000, 0.000, 0.255)
Li (0.000, 0.000, 0.745)
Li (0.500, 0.500, 0.245)
Li (0.500, 0.500, 0.500)
Li (0.500, 0.500, 0.755)
Cu (0.000, 0.000, 0.500)
Cu (0.500, 0.500, 0.000)
Ag (0.000, 0.500, 0.123)
Ag (0.000, 0.500, 0.377)
Ag (0.000, 0.500, 0.623)
Ag (0.000, 0.500, 0.877)
Ag (0.500, 0.000, 0.123)
Ag (0.500, 0.000, 0.377)
Ag (0.500, 0.000, 0.623)
Ag (0.500, 0.000, 0.877)

Most intense lines, 2θ from 15° to 90°, sorted by position:
| d_spacing | 2θ (°) | I/Imax |
| --- | --- | --- |
| 3.162 | 28.22 | 63 |
| 3.144 | 28.39 | 31 |
| 2.236 | 40.33 | 51 |
| 2.230 | 40.46 | 100 |
| 1.822 | 50.06 | 24 |
| 1.581 | 58.36 | 16 |
| 1.413 | 66.11 | 20 |
| 1.290 | 73.41 | 32 |

***

(5)
The following is a simulated X-ray diffraction stick pattern of LaPm3C8. It was derived from a structure optimized by DFT (GGA-PBE), using Cu Kα.

Structure:
Unit cell a=6.449 b=6.449 c=6.449 alpha=112.16 beta=112.16 gamma=104.21
Sites, in units of the cell vectors:
La (0.000, 0.000, 0.000)
Pm (0.250, 0.750, 0.500)
Pm (0.500, 0.500, 0.000)
Pm (0.750, 0.250, 0.500)
C (0.074, 0.412, 0.000)
C (0.126, 0.126, 0.539)
C (0.412, 0.074, 0.000)
C (0.414, 0.874, 0.000)
C (0.586, 0.586, 0.461)
C (0.588, 0.588, 0.663)
C (0.874, 0.414, 0.000)
C (0.926, 0.926, 0.337)

Most intense lines, 2θ from 15° to 90°, sorted by position:
| d_spacing | 2θ (°) | I/Imax |
| --- | --- | --- |
| 3.599 | 24.74 | 57 |
| 3.126 | 28.56 | 100 |
| 2.545 | 35.27 | 35 |
| 1.973 | 45.99 | 60 |
| 1.735 | 52.76 | 20 |
| 1.609 | 57.24 | 14 |
| 1.330 | 70.87 | 15 |
| 1.249 | 76.23 | 14 |

***

(6)
The following is a simulated X-ray diffraction stick pattern of K2PmI6. It was derived from a structure optimized by DFT (GGA-PBE), using Cu Kα.

Structure:
Unit cell a=8.566 b=9.290 c=13.351 alpha=90.00 beta=127.21 gamma=90.00
Sites, in units of the cell vectors:
K (0.220, 0.103, 0.241)
K (0.220, 0.397, 0.741)
K (0.780, 0.603, 0.259)
K (0.780, 0.897, 0.759)
Pm (0.500, 0.000, 0.000)
Pm (0.500, 0.500, 0.500)
I (0.137, 0.176, 0.932)
I (0.137, 0.324, 0.432)
I (0.272, 0.712, 0.942)
I (0.272, 0.788, 0.442)
I (0.357, 0.029, 0.727)
I (0.357, 0.471, 0.227)
I (0.643, 0.529, 0.773)
I (0.643, 0.971, 0.273)
I (0.728, 0.212, 0.558)
I (0.728, 0.288, 0.058)
I (0.863, 0.676, 0.568)
I (0.863, 0.824, 0.068)

Most intense lines, 2θ from 15° to 90°, sorted by position:
| d_spacing | 2θ (°) | I/Imax |
| --- | --- | --- |
| 3.886 | 22.88 | 58 |
| 3.840 | 23.17 | 55 |
| 3.701 | 24.05 | 64 |
| 3.498 | 25.46 | 46 |
| 3.222 | 27.68 | 100 |
| 3.203 | 27.85 | 42 |
| 3.147 | 28.36 | 42 |
| 2.912 | 30.70 | 47 |

***

(7)
The following is a simulated X-ray diffraction stick pattern of PaTaPd14. It was derived from a structure optimized by DFT (GGA-PBE), using Cu Kα.

Structure:
Unit cell a=5.736 b=5.736 c=7.815 alpha=90.00 beta=90.00 gamma=90.00
Sites, in units of the cell vectors:
Pa (0.000, 0.000, 0.000)
Ta (0.500, 0.500, 0.000)
Pd (0.000, 0.000, 0.500)
Pd (0.000, 0.500, 0.000)
Pd (0.000, 0.500, 0.500)
Pd (0.254, 0.254, 0.247)
Pd (0.254, 0.254, 0.753)
Pd (0.254, 0.746, 0.247)
Pd (0.254, 0.746, 0.753)
Pd (0.500, 0.000, 0.000)
Pd (0.500, 0.000, 0.500)
Pd (0.500, 0.500, 0.500)
Pd (0.746, 0.254, 0.247)
Pd (0.746, 0.254, 0.753)
Pd (0.746, 0.746, 0.247)
Pd (0.746, 0.746, 0.753)

Most intense lines, 2θ from 15° to 90°, sorted by position:
| d_spacing | 2θ (°) | I/Imax |
| --- | --- | --- |
| 2.312 | 38.95 | 100 |
| 2.028 | 44.68 | 34 |
| 1.954 | 46.48 | 15 |
| 1.434 | 65.04 | 11 |
| 1.407 | 66.44 | 20 |
| 1.219 | 78.48 | 25 |
| 1.186 | 81.09 | 12 |
| 1.156 | 83.65 | 11 |

***

(8)
The following is a simulated X-ray diffraction stick pattern of La2Tb2Y6Th. It was derived from a structure optimized by DFT (GGA-PBE), using Cu Kα.

Structure:
Unit cell a=6.114 b=6.114 c=11.227 alpha=92.36 beta=92.36 gamma=115.73
Sites, in units of the cell vectors:
La (0.158, 0.842, 0.000)
La (0.842, 0.158, 0.000)
Tb (0.214, 0.786, 0.500)
Tb (0.786, 0.214, 0.500)
Y (0.119, 0.451, 0.754)
Y (0.253, 0.253, 0.299)
Y (0.451, 0.119, 0.754)
Y (0.549, 0.881, 0.246)
Y (0.747, 0.747, 0.701)
Y (0.881, 0.549, 0.246)
Th (0.500, 0.500, 0.000)

Most intense lines, 2θ from 15° to 90°, sorted by position:
| d_spacing | 2θ (°) | I/Imax |
| --- | --- | --- |
| 4.699 | 18.88 | 24 |
| 3.047 | 29.31 | 28 |
| 3.027 | 29.51 | 22 |
| 2.909 | 30.74 | 100 |
| 2.798 | 31.98 | 45 |
| 2.716 | 32.97 | 92 |
| 2.634 | 34.04 | 38 |
| 2.403 | 37.42 | 24 |